Computed XRD peak list of Li6Au5 for a wavelength of 1.5418 Å, from a PBE-relaxed structure.
No peak broadening, texture or thermal motion is included.

```
data_Li6Au5
_symmetry_space_group_name_H-M 'P 1 2/m 1'
_symmetry_Int_Tables_number 10
_symmetry_space_group_name_Hall '-P 2y'
_cell_length_a 4.423
_cell_length_b 6.288
_cell_length_c 6.901
_cell_angle_alpha 90.00
_cell_angle_beta 108.07
_cell_angle_gamma 90.00
loop_
_atom_site_label
_atom_site_type_symbol
_atom_site_fract_x
_atom_site_fract_y
_atom_site_fract_z
Li1 Li 0.000 0.242 0.000
Li2 Li 0.334 0.252 0.672
Au1 Au 0.166 0.500 0.328
Au2 Au 0.171 0.000 0.340
Au3 Au 0.500 0.500 0.000
```

The 10 most intense peaks (2θ from 5° to 70°), by angle:
| 2θ/deg | Rel. int. |
| --- | --- |
| 28.39 | 100.0 |
| 28.55 | 98.4 |
| 28.86 | 95.7 |
| 40.70 | 87.9 |
| 40.81 | 43.7 |
| 40.93 | 86.5 |
| 41.28 | 41.9 |
| 50.46 | 42.2 |
| 50.86 | 40.8 |
| 66.78 | 45.9 |